Record 1
Computed X-ray diffraction stick pattern
Compound: K3TmSb3Se8
Radiation: Cu Kα (λ = 1.5418 Å)
Structure: a DFT-relaxed cell (GGA-PBE, Alexandria)
Lines closer than 0.1° are merged.

Most intense lines, 5° ≤ 2θ ≤ 70°, in order of falling intensity:
| Position (°2θ) | I/Imax |
| --- | --- |
| 29.09 | 100 |
| 11.15 | 71 |
| 43.75 | 35 |
| 39.36 | 34 |
| 36.43 | 24 |
| 53.40 | 18 |
| 49.19 | 15 |
| 45.30 | 14 |
| 60.29 | 12 |
| 25.13 | 11 |

```
K3TmSb3Se8
1.0
4.138 2.389 7.933
-4.138 2.389 7.933
0.000 -4.778 7.933
K Tm Sb Se
3 1 3 8
Cartesian
-2.069 -1.194 7.933
-2.069 1.194 15.866
0.000 2.389 7.933
0.000 0.000 11.899
-4.138 0.000 11.899
-2.069 1.194 3.966
2.069 1.194 3.966
0.000 0.000 5.600
-2.048 -1.183 13.479
0.000 -2.365 10.320
-2.048 1.183 10.320
2.048 -1.183 13.479
0.000 2.365 13.479
2.048 1.183 10.320
0.000 0.000 18.199
```

Record 2
Computed X-ray diffraction stick pattern
Compound: Ti6IrRh12
Radiation: Cu Kα (λ = 1.5418 Å)
Structure: a DFT-relaxed cell (GGA-PBE, Alexandria)
Lines closer than 0.1° are merged.

Most intense lines, 5° ≤ 2θ ≤ 70°, in order of falling intensity:
| Position (°2θ) | I/Imax |
| --- | --- |
| 41.66 | 100 |
| 38.37 | 50 |
| 44.62 | 41 |
| 40.22 | 34 |
| 21.28 | 30 |
| 38.06 | 27 |
| 47.50 | 25 |
| 24.77 | 24 |
| 46.27 | 21 |
| 55.44 | 13 |

```
Ti6IrRh12
1.0
5.736 3.312 2.571
-5.736 3.312 2.571
0.000 -6.623 2.571
Ti Ir Rh
6 1 12
Cartesian
-1.258 -1.472 1.976
-0.646 1.825 1.976
1.903 -0.353 1.976
-1.903 0.353 5.737
0.646 -1.825 5.737
1.258 1.472 5.737
0.000 0.000 3.856
-0.572 -4.193 2.077
-3.345 2.592 2.077
-2.652 0.339 3.312
-3.917 -1.601 5.635
-1.619 -2.127 4.400
1.033 -2.466 3.312
-1.033 2.466 4.400
1.619 2.127 3.312
3.917 1.601 2.077
2.652 -0.339 4.400
3.345 -2.592 5.635
0.572 4.193 5.635
```

Record 3
Computed X-ray diffraction stick pattern
Compound: RbPaSn2O7
Radiation: Cu Kα (λ = 1.5418 Å)
Structure: a DFT-relaxed cell (GGA-PBE, Alexandria)
Lines closer than 0.1° are merged.

Most intense lines, 5° ≤ 2θ ≤ 70°, in order of falling intensity:
| Position (°2θ) | I/Imax |
| --- | --- |
| 7.53 | 100 |
| 27.74 | 92 |
| 32.94 | 34 |
| 55.70 | 28 |
| 45.49 | 21 |
| 47.28 | 19 |
| 32.66 | 18 |
| 51.44 | 13 |
| 68.45 | 9 |
| 30.47 | 8 |

```
RbPaSn2O7
1.0
3.845 0.000 0.000
0.000 3.845 0.000
0.000 0.000 11.734
Rb Pa Sn O
1 1 2 7
Cartesian
0.000 0.000 0.000
0.000 0.000 5.867
1.923 1.923 3.458
1.923 1.923 8.276
0.000 1.923 4.304
0.000 1.923 7.429
1.923 0.000 4.304
1.923 0.000 7.429
1.923 1.923 1.564
1.923 1.923 5.867
1.923 1.923 10.170
```

Record 4
Computed X-ray diffraction stick pattern
Compound: La6CoPdPb2
Radiation: Cu Kα (λ = 1.5418 Å)
Structure: a DFT-relaxed cell (GGA-PBE, Alexandria)
Lines closer than 0.1° are merged.

Most intense lines, 5° ≤ 2θ ≤ 70°, in order of falling intensity:
| Position (°2θ) | I/Imax |
| --- | --- |
| 33.73 | 100 |
| 28.23 | 99 |
| 30.82 | 99 |
| 27.69 | 74 |
| 29.02 | 59 |
| 27.35 | 34 |
| 45.44 | 33 |
| 47.27 | 25 |
| 54.50 | 25 |
| 40.70 | 23 |

```
La6CoPdPb2
1.0
7.503 0.000 0.000
-0.011 7.538 0.000
-3.448 -3.757 5.803
La Co Pd Pb
6 1 1 2
Cartesian
-0.432 0.357 2.692
1.797 2.152 0.011
0.512 4.354 3.092
3.531 -0.573 2.711
2.247 1.629 5.791
4.475 3.424 3.111
-1.724 -1.879 2.901
2.022 1.890 2.901
1.860 5.710 0.007
2.183 -1.930 5.796
```